This entry pairs a crystal structure of NdPu2Rh2 with its theoretical powder X-ray diffraction pattern. Radiation: CuKα. Structure: a cell relaxed with GGA-PBE.
No peak broadening, texture or thermal motion is included.

Cell and atoms:
```
data_NdPu2Rh2
_space_group_name_H-M_alt 'R -3 m'
_space_group_IT_number 166
_space_group_name_Hall '-R 3 2"'
_cell_length_a 4.2147
_cell_length_b 4.2147
_cell_length_c 20.4518
_cell_angle_alpha 90.00
_cell_angle_beta 90.00
_cell_angle_gamma 120.00
loop_
_atom_site_label
_atom_site_fract_x
_atom_site_fract_y
_atom_site_fract_z
Nd1 0.0000 0.0000 0.0000
Pu1 0.0000 0.0000 0.1804
Rh1 0.0000 0.0000 0.4240
```

Main lines, sorted by position (2θ = 10–90°):
2theta, Rel. int., (hkl)
13.0, 71, 0 0 3
32.9, 100, 0 1 5
42.9, 71, 1 1 0
43.2, 22, 0 1 8
45.0, 21, 1 1 3
55.1, 23, 2 0 5